No. 1
This entry pairs a crystal structure of HfPtAu with its simulated XRD peak list. Radiation: a wavelength of 1.5418 Å. Structure: a GGA-PBE-relaxed structure.

Most intense lines, 2θ = 10–90°, sorted by position:
2θ (°), d [Å], I_rel
35.90, 2.501, 55
37.17, 2.419, 100
40.12, 2.248, 81
45.42, 1.997, 57
59.21, 1.561, 26
65.08, 1.433, 20
67.37, 1.390, 18
67.95, 1.379, 17
70.96, 1.328, 15
76.40, 1.247, 12
76.88, 1.240, 12
87.42, 1.116, 18

Crystal structure
```
data_HfPtAu
_chemical_formula_sum 'Hf2 Pt2 Au2'
_cell_length_a 6.6001
_cell_length_b 4.9865
_cell_length_c 5.5996
_cell_angle_alpha 76.90
_cell_angle_beta 47.38
_cell_angle_gamma 55.72
_space_group_name_H-M_alt 'P 1'
_space_group_IT_number 1
loop_
_space_group_symop_operation_xyz
'x,y,z'
loop_
_atom_site_label
_atom_site_type_symbol
_atom_site_fract_x
_atom_site_fract_y
_atom_site_fract_z
_atom_site_occupancy
Hf1 Hf 0.0000 0.0000 0.0000 1
Hf2 Hf 0.2500 0.2500 0.2500 1
Pt1 Pt 0.6747 0.6747 0.3253 1
Pt2 Pt 0.9247 0.9247 0.5753 1
Au1 Au 0.3378 0.3378 0.6622 1
Au2 Au 0.5878 0.5878 0.9122 1
```

No. 2
This entry pairs a crystal structure of HfPt5Au2 with its simulated XRD peak list. Radiation: a wavelength of 1.5418 Å. Structure: a GGA-PBE-relaxed structure.

Most intense lines, 2θ = 10–90°, sorted by position:
2θ (°), d [Å], I_rel
38.45, 2.341, 100
44.32, 2.044, 34
45.43, 1.996, 15
64.47, 1.445, 11
65.34, 1.428, 21
77.64, 1.230, 27
79.24, 1.209, 12
82.38, 1.171, 11

Crystal structure
```
data_HfPt5Au2
_chemical_formula_sum 'Hf2 Pt10 Au4'
_cell_length_a 4.0878
_cell_length_b 4.0878
_cell_length_c 15.9706
_cell_angle_alpha 90.00
_cell_angle_beta 90.00
_cell_angle_gamma 90.00
_space_group_name_H-M_alt 'P 1'
_space_group_IT_number 1
loop_
_space_group_symop_operation_xyz
'x,y,z'
loop_
_atom_site_label
_atom_site_type_symbol
_atom_site_fract_x
_atom_site_fract_y
_atom_site_fract_z
_atom_site_occupancy
Hf1 Hf 0.0000 0.0000 0.0000 1
Hf2 Hf 0.5000 0.5000 0.5000 1
Pt1 Pt 0.0000 0.0000 0.5000 1
Pt2 Pt 0.0000 0.5000 0.1205 1
Pt3 Pt 0.0000 0.5000 0.3795 1
Pt4 Pt 0.0000 0.5000 0.6205 1
Pt5 Pt 0.0000 0.5000 0.8795 1
Pt6 Pt 0.5000 0.0000 0.1205 1
Pt7 Pt 0.5000 0.0000 0.3795 1
Pt8 Pt 0.5000 0.0000 0.6205 1
Pt9 Pt 0.5000 0.0000 0.8795 1
Pt10 Pt 0.5000 0.5000 0.0000 1
Au1 Au 0.0000 0.0000 0.2532 1
Au2 Au 0.0000 0.0000 0.7468 1
Au3 Au 0.5000 0.5000 0.2468 1
Au4 Au 0.5000 0.5000 0.7532 1
```

No. 3
This entry pairs a crystal structure of Hf3Pt4Au2 with its simulated XRD peak list. Radiation: a wavelength of 1.5418 Å. Structure: a GGA-PBE-relaxed structure.

Most intense lines, 2θ = 10–90°, sorted by position:
2θ (°), d [Å], I_rel
36.56, 2.458, 52
37.22, 2.416, 100
40.20, 2.243, 81
45.71, 1.985, 28
45.77, 1.982, 28
59.90, 1.544, 12
59.95, 1.543, 13
64.94, 1.436, 10
65.10, 1.433, 10
68.15, 1.376, 17
68.27, 1.374, 17
78.11, 1.224, 11

Crystal structure
```
data_Hf3Pt4Au2
_chemical_formula_sum 'Hf6 Pt8 Au4'
_cell_length_a 8.2439
_cell_length_b 8.2439
_cell_length_c 4.9901
_cell_angle_alpha 98.03
_cell_angle_beta 98.03
_cell_angle_gamma 73.21
_space_group_name_H-M_alt 'P 1'
_space_group_IT_number 1
loop_
_space_group_symop_operation_xyz
'x,y,z'
loop_
_atom_site_label
_atom_site_type_symbol
_atom_site_fract_x
_atom_site_fract_y
_atom_site_fract_z
_atom_site_occupancy
Hf1 Hf 0.1379 0.8621 0.7500 1
Hf2 Hf 0.2140 0.4538 0.9151 1
Hf3 Hf 0.4538 0.2140 0.4151 1
Hf4 Hf 0.5462 0.7860 0.5849 1
Hf5 Hf 0.7860 0.5462 0.0849 1
Hf6 Hf 0.8621 0.1379 0.2500 1
Pt1 Pt 0.0911 0.3524 0.3505 1
Pt2 Pt 0.3210 0.5668 0.4715 1
Pt3 Pt 0.3524 0.0911 0.8505 1
Pt4 Pt 0.4332 0.6790 0.0285 1
Pt5 Pt 0.5668 0.3210 0.9715 1
Pt6 Pt 0.6476 0.9089 0.1495 1
Pt7 Pt 0.6790 0.4332 0.5285 1
Pt8 Pt 0.9089 0.6476 0.6495 1
Au1 Au 0.0112 0.7680 0.1991 1
Au2 Au 0.2320 0.9888 0.3009 1
Au3 Au 0.7680 0.0112 0.6991 1
Au4 Au 0.9888 0.2320 0.8009 1
```

No. 4
This entry pairs a crystal structure of HfRhAu with its simulated XRD peak list. Radiation: a wavelength of 1.5418 Å. Structure: a GGA-PBE-relaxed structure.

Most intense lines, 2θ = 10–90°, sorted by position:
2θ (°), d [Å], I_rel
19.69, 4.509, 3
27.87, 3.201, 10
37.13, 2.421, 61
39.91, 2.259, 100
53.52, 1.712, 22
55.70, 1.650, 4
61.71, 1.503, 6
68.80, 1.365, 41
74.26, 1.277, 15
79.10, 1.211, 7
79.48, 1.206, 3
86.07, 1.130, 10

Crystal structure
```
data_HfRhAu
_chemical_formula_sum 'Hf2 Rh2 Au2'
_cell_length_a 3.4244
_cell_length_b 3.4244
_cell_length_c 9.0189
_cell_angle_alpha 90.00
_cell_angle_beta 90.00
_cell_angle_gamma 90.00
_space_group_name_H-M_alt 'P 1'
_space_group_IT_number 1
loop_
_space_group_symop_operation_xyz
'x,y,z'
loop_
_atom_site_label
_atom_site_type_symbol
_atom_site_fract_x
_atom_site_fract_y
_atom_site_fract_z
_atom_site_occupancy
Hf1 Hf 0.0000 0.0000 0.0000 1
Hf2 Hf 0.5000 0.5000 0.5000 1
Rh1 Rh 0.0000 0.0000 0.6423 1
Rh2 Rh 0.5000 0.5000 0.1423 1
Au1 Au 0.0000 0.0000 0.3243 1
Au2 Au 0.5000 0.5000 0.8243 1
```

No. 5
This entry pairs a crystal structure of HfZnRhAu with its simulated XRD peak list. Radiation: a wavelength of 1.5418 Å. Structure: a GGA-PBE-relaxed structure.

Most intense lines, 2θ = 10–90°, sorted by position:
2θ (°), d [Å], I_rel
24.53, 3.629, 20
38.65, 2.330, 100
40.90, 2.206, 6
44.28, 2.046, 34
46.19, 1.965, 15
51.27, 1.782, 6
61.85, 1.500, 3
64.41, 1.446, 11
65.91, 1.417, 21
77.71, 1.229, 26
80.49, 1.193, 14
82.87, 1.165, 11

Crystal structure
```
data_HfZnRhAu
_chemical_formula_sum 'Hf2 Zn2 Rh2 Au2'
_cell_length_a 4.0912
_cell_length_b 4.0912
_cell_length_c 7.8607
_cell_angle_alpha 90.00
_cell_angle_beta 90.00
_cell_angle_gamma 90.00
_space_group_name_H-M_alt 'P 1'
_space_group_IT_number 1
loop_
_space_group_symop_operation_xyz
'x,y,z'
loop_
_atom_site_label
_atom_site_type_symbol
_atom_site_fract_x
_atom_site_fract_y
_atom_site_fract_z
_atom_site_occupancy
Hf1 Hf 0.0000 0.0000 0.0000 1
Hf2 Hf 0.5000 0.5000 0.5000 1
Zn1 Zn 0.0000 0.0000 0.5000 1
Zn2 Zn 0.5000 0.5000 0.0000 1
Rh1 Rh 0.0000 0.5000 0.7500 1
Rh2 Rh 0.5000 0.0000 0.2500 1
Au1 Au 0.0000 0.5000 0.2500 1
Au2 Au 0.5000 0.0000 0.7500 1
```

No. 6
This entry pairs a crystal structure of Hf8Sb2Au with its simulated XRD peak list. Radiation: a wavelength of 1.5418 Å. Structure: a GGA-PBE-relaxed structure.

Most intense lines, 2θ = 10–90°, sorted by position:
2θ (°), d [Å], I_rel
26.59, 3.352, 20
32.65, 2.743, 62
32.94, 2.719, 34
33.98, 2.639, 65
35.32, 2.541, 33
36.39, 2.469, 85
36.73, 2.447, 47
37.58, 2.394, 77
38.54, 2.336, 100
38.73, 2.325, 20
52.47, 1.744, 20
58.74, 1.572, 41

Crystal structure
```
data_Hf8Sb2Au
_chemical_formula_sum 'Hf8 Sb2 Au1'
_cell_length_a 7.5881
_cell_length_b 7.5881
_cell_length_c 5.3897
_cell_angle_alpha 101.11
_cell_angle_beta 101.11
_cell_angle_gamma 120.16
_space_group_name_H-M_alt 'P 1'
_space_group_IT_number 1
loop_
_space_group_symop_operation_xyz
'x,y,z'
loop_
_atom_site_label
_atom_site_type_symbol
_atom_site_fract_x
_atom_site_fract_y
_atom_site_fract_z
_atom_site_occupancy
Hf1 Hf 0.0967 0.3172 0.6518 1
Hf2 Hf 0.2227 0.7773 0.0000 1
Hf3 Hf 0.3172 0.0967 0.6518 1
Hf4 Hf 0.4025 0.4025 0.1978 1
Hf5 Hf 0.5975 0.5975 0.8022 1
Hf6 Hf 0.6828 0.9033 0.3482 1
Hf7 Hf 0.7773 0.2227 0.0000 1
Hf8 Hf 0.9033 0.6828 0.3482 1
Sb1 Sb 0.3025 0.6975 0.5000 1
Sb2 Sb 0.6975 0.3025 0.5000 1
Au1 Au 0.0000 0.0000 0.0000 1
```

No. 7
This entry pairs a crystal structure of Hf3Si4Au4 with its simulated XRD peak list. Radiation: a wavelength of 1.5418 Å. Structure: a GGA-PBE-relaxed structure.

Most intense lines, 2θ = 10–90°, sorted by position:
2θ (°), d [Å], I_rel
24.15, 3.685, 20
27.35, 3.261, 12
34.22, 2.621, 46
35.64, 2.519, 100
44.14, 2.052, 19
44.27, 2.046, 19
44.55, 2.034, 20
49.46, 1.843, 16
57.42, 1.605, 14
58.70, 1.573, 12
68.45, 1.371, 16
68.74, 1.366, 11

Crystal structure
```
data_Hf3Si4Au4
_chemical_formula_sum 'Hf3 Si4 Au4'
_cell_length_a 3.6856
_cell_length_b 4.0676
_cell_length_c 13.3224
_cell_angle_alpha 98.60
_cell_angle_beta 97.89
_cell_angle_gamma 90.04
_space_group_name_H-M_alt 'P 1'
_space_group_IT_number 1
loop_
_space_group_symop_operation_xyz
'x,y,z'
loop_
_atom_site_label
_atom_site_type_symbol
_atom_site_fract_x
_atom_site_fract_y
_atom_site_fract_z
_atom_site_occupancy
Hf1 Hf 0.0000 0.0000 0.0000 1
Hf2 Hf 0.1403 0.6408 0.2812 1
Hf3 Hf 0.8597 0.3592 0.7188 1
Si1 Si 0.3161 0.8164 0.6349 1
Si2 Si 0.4548 0.4546 0.9121 1
Si3 Si 0.5452 0.5454 0.0879 1
Si4 Si 0.6839 0.1836 0.3651 1
Au1 Au 0.2657 0.2657 0.5318 1
Au2 Au 0.4094 0.9078 0.8169 1
Au3 Au 0.5906 0.0922 0.1831 1
Au4 Au 0.7343 0.7343 0.4682 1
```

No. 8
This entry pairs a crystal structure of Hf8Sn3Au2 with its simulated XRD peak list. Radiation: a wavelength of 1.5418 Å. Structure: a GGA-PBE-relaxed structure.

Most intense lines, 2θ = 10–90°, sorted by position:
2θ (°), d [Å], I_rel
30.47, 2.934, 45
31.75, 2.818, 47
35.36, 2.539, 20
35.83, 2.506, 100
37.05, 2.426, 76
37.32, 2.410, 31
38.40, 2.344, 46
40.75, 2.214, 45
41.17, 2.193, 31
55.71, 1.650, 21
58.54, 1.577, 41
63.40, 1.467, 46

Crystal structure
```
data_Hf8Sn3Au2
_chemical_formula_sum 'Hf8 Sn3 Au2'
_cell_length_a 10.6777
_cell_length_b 10.6777
_cell_length_c 10.6777
_cell_angle_alpha 31.90
_cell_angle_beta 31.90
_cell_angle_gamma 31.90
_space_group_name_H-M_alt 'P 1'
_space_group_IT_number 1
loop_
_space_group_symop_operation_xyz
'x,y,z'
loop_
_atom_site_label
_atom_site_type_symbol
_atom_site_fract_x
_atom_site_fract_y
_atom_site_fract_z
_atom_site_occupancy
Hf1 Hf 0.2166 0.2166 0.2166 1
Hf2 Hf 0.2246 0.2246 0.7232 1
Hf3 Hf 0.2246 0.7232 0.2246 1
Hf4 Hf 0.2768 0.7754 0.7754 1
Hf5 Hf 0.7232 0.2246 0.2246 1
Hf6 Hf 0.7754 0.2768 0.7754 1
Hf7 Hf 0.7754 0.7754 0.2768 1
Hf8 Hf 0.7834 0.7834 0.7834 1
Sn1 Sn 0.3090 0.3090 0.3090 1
Sn2 Sn 0.5000 0.5000 0.5000 1
Sn3 Sn 0.6910 0.6910 0.6910 1
Au1 Au 0.1302 0.1302 0.1302 1
Au2 Au 0.8698 0.8698 0.8698 1
```

No. 9
This entry pairs a crystal structure of Hf4TcAu with its simulated XRD peak list. Radiation: a wavelength of 1.5418 Å. Structure: a GGA-PBE-relaxed structure.

Most intense lines, 2θ = 10–90°, sorted by position:
2θ (°), d [Å], I_rel
31.79, 2.815, 6
36.77, 2.444, 100
38.89, 2.315, 46
49.64, 1.837, 9
56.18, 1.637, 16
57.75, 1.596, 4
64.79, 1.439, 16
69.04, 1.360, 32
74.77, 1.270, 4
78.22, 1.222, 9
83.50, 1.158, 5
84.48, 1.147, 6

Crystal structure
```
data_Hf4TcAu
_chemical_formula_sum 'Hf4 Tc1 Au1'
_cell_length_a 3.2746
_cell_length_b 3.2746
_cell_length_c 11.0191
_cell_angle_alpha 90.00
_cell_angle_beta 90.00
_cell_angle_gamma 90.00
_space_group_name_H-M_alt 'P 1'
_space_group_IT_number 1
loop_
_space_group_symop_operation_xyz
'x,y,z'
loop_
_atom_site_label
_atom_site_type_symbol
_atom_site_fract_x
_atom_site_fract_y
_atom_site_fract_z
_atom_site_occupancy
Hf1 Hf 0.0000 0.0000 0.1442 1
Hf2 Hf 0.0000 0.0000 0.8558 1
Hf3 Hf 0.5000 0.5000 0.3305 1
Hf4 Hf 0.5000 0.5000 0.6695 1
Tc1 Tc 0.5000 0.5000 0.0000 1
Au1 Au 0.0000 0.0000 0.5000 1
```

No. 10
This entry pairs a crystal structure of Hf2ThAu with its simulated XRD peak list. Radiation: a wavelength of 1.5418 Å. Structure: a GGA-PBE-relaxed structure.

Most intense lines, 2θ = 10–90°, sorted by position:
2θ (°), d [Å], I_rel
34.54, 2.597, 100
37.27, 2.412, 44
43.03, 2.102, 3
45.31, 2.001, 9
53.73, 1.706, 16
60.06, 1.540, 16
64.26, 1.449, 3
65.47, 1.426, 32
72.86, 1.298, 9
76.69, 1.243, 5
79.45, 1.206, 5
89.61, 1.094, 7

Crystal structure
```
data_Hf2ThAu
_chemical_formula_sum 'Hf2 Th1 Au1'
_cell_length_a 3.4117
_cell_length_b 3.4117
_cell_length_c 8.0056
_cell_angle_alpha 90.00
_cell_angle_beta 90.00
_cell_angle_gamma 90.00
_space_group_name_H-M_alt 'P 1'
_space_group_IT_number 1
loop_
_space_group_symop_operation_xyz
'x,y,z'
loop_
_atom_site_label
_atom_site_type_symbol
_atom_site_fract_x
_atom_site_fract_y
_atom_site_fract_z
_atom_site_occupancy
Hf1 Hf 0.0000 0.0000 0.2157 1
Hf2 Hf 0.0000 0.0000 0.7843 1
Th1 Th 0.5000 0.5000 0.5000 1
Au1 Au 0.5000 0.5000 0.0000 1
```

No. 11
This entry pairs a crystal structure of HfTlAu with its simulated XRD peak list. Radiation: a wavelength of 1.5418 Å. Structure: a GGA-PBE-relaxed structure.

Most intense lines, 2θ = 10–90°, sorted by position:
2θ (°), d [Å], I_rel
28.80, 3.100, 6
35.96, 2.497, 98
36.93, 2.434, 100
47.49, 1.914, 9
52.50, 1.743, 34
59.65, 1.550, 8
65.91, 1.417, 34
66.54, 1.405, 18
72.27, 1.307, 29
74.07, 1.280, 2
78.61, 1.217, 12
89.60, 1.094, 16

Crystal structure
```
data_HfTlAu
_chemical_formula_sum 'Hf2 Tl2 Au2'
_cell_length_a 4.8681
_cell_length_b 4.8681
_cell_length_c 6.1997
_cell_angle_alpha 90.00
_cell_angle_beta 90.00
_cell_angle_gamma 120.00
_space_group_name_H-M_alt 'P 1'
_space_group_IT_number 1
loop_
_space_group_symop_operation_xyz
'x,y,z'
loop_
_atom_site_label
_atom_site_type_symbol
_atom_site_fract_x
_atom_site_fract_y
_atom_site_fract_z
_atom_site_occupancy
Hf1 Hf 0.3333 0.6667 0.2500 1
Hf2 Hf 0.6667 0.3333 0.7500 1
Tl1 Tl 0.0000 0.0000 0.0000 1
Tl2 Tl 0.0000 0.0000 0.5000 1
Au1 Au 0.3333 0.6667 0.7500 1
Au2 Au 0.6667 0.3333 0.2500 1
```

No. 12
This entry pairs a crystal structure of HfTlAu with its simulated XRD peak list. Radiation: a wavelength of 1.5418 Å. Structure: a GGA-PBE-relaxed structure.

Most intense lines, 2θ = 10–90°, sorted by position:
2θ (°), d [Å], I_rel
31.61, 2.831, 62
33.21, 2.698, 28
33.83, 2.650, 100
34.53, 2.597, 15
37.72, 2.385, 67
39.38, 2.288, 50
39.85, 2.262, 32
45.95, 1.975, 11
52.43, 1.745, 16
57.25, 1.609, 18
62.78, 1.480, 26
67.87, 1.381, 14

Crystal structure
```
data_HfTlAu
_chemical_formula_sum 'Hf4 Tl4 Au4'
_cell_length_a 7.0514
_cell_length_b 4.5763
_cell_length_c 8.3817
_cell_angle_alpha 90.00
_cell_angle_beta 90.00
_cell_angle_gamma 90.00
_space_group_name_H-M_alt 'P 1'
_space_group_IT_number 1
loop_
_space_group_symop_operation_xyz
'x,y,z'
loop_
_atom_site_label
_atom_site_type_symbol
_atom_site_fract_x
_atom_site_fract_y
_atom_site_fract_z
_atom_site_occupancy
Hf1 Hf 0.1608 0.2500 0.0746 1
Hf2 Hf 0.3392 0.7500 0.5746 1
Hf3 Hf 0.6608 0.2500 0.4254 1
Hf4 Hf 0.8392 0.7500 0.9254 1
Tl1 Tl 0.0130 0.2500 0.6902 1
Tl2 Tl 0.4870 0.7500 0.1902 1
Tl3 Tl 0.5130 0.2500 0.8098 1
Tl4 Tl 0.9870 0.7500 0.3098 1
Au1 Au 0.2267 0.7500 0.8974 1
Au2 Au 0.2733 0.2500 0.3974 1
Au3 Au 0.7267 0.7500 0.6026 1
Au4 Au 0.7733 0.2500 0.1026 1
```